AgS2N2: theoretical PXRD pattern (Cu Kα (λ = 1.5418 Å)), based on a structure optimized by DFT (GGA-PBE).

Structure:
```
data_AgS2N2
_chemical_formula_sum 'Ag1 S2 N2'
_cell_length_a 3.4407
_cell_length_b 3.4407
_cell_length_c 6.7708
_cell_angle_alpha 90.00
_cell_angle_beta 90.00
_cell_angle_gamma 90.00
_space_group_name_H-M_alt 'P 4/m m m'
_space_group_IT_number 123
_space_group_name_Hall '-P 4 2'
loop_
_atom_site_label
_atom_site_type_symbol
_atom_site_fract_x
_atom_site_fract_y
_atom_site_fract_z
Ag1 Ag 0.0000 0.0000 0.0000
S1 S 0.5000 0.5000 0.0000
S2 S 0.5000 0.5000 0.5000
N1 N 0.0000 0.5000 0.5000
```

Peak list (10 most intense, 2θ from 5° to 70°, in order of rising 2θ)
d/Å	Rel. int.	index
6.771	73	0 0 1
3.385	100	0 0 2
3.067	88	1 0 1
2.433	41	1 1 0
2.290	58	1 1 1
1.976	44	1 1 2
1.887	21	1 0 3
1.720	24	2 0 0
1.655	19	1 1 3
1.534	31	2 0 2